Structure and simulated powder diffractogram of VCdCoO5 (a structure optimized by DFT (PBE+U); CuKα).

Peak list (10 most intense, 10 to 80 degrees two-theta, low angle first)
- 2θ = 17.99°, I = 23
- 2θ = 21.16°, I = 40
- 2θ = 26.85°, I = 100
- 2θ = 30.10°, I = 46
- 2θ = 32.37°, I = 41
- 2θ = 33.75°, I = 89
- 2θ = 35.81°, I = 53
- 2θ = 39.11°, I = 30
- 2θ = 55.36°, I = 26
- 2θ = 55.83°, I = 53

Atomic structure:
```
VCdCoO5
1.0
8.0080 0.0000 0.0000
0.0000 5.9409 0.0000
0.0000 0.0000 8.8415
V Cd Co O
4 4 4 20
Direct
0.1521 0.2500 0.1822
0.3479 0.7500 0.6822
0.6521 0.2500 0.3178
0.8479 0.7500 0.8178
0.1336 0.2500 0.8192
0.3664 0.7500 0.3192
0.6336 0.2500 0.6808
0.8664 0.7500 0.1808
0.0000 0.0000 0.5000
0.0000 0.5000 0.5000
0.5000 0.0000 0.0000
0.5000 0.5000 0.0000
0.0064 0.2500 0.0397
0.1191 0.2500 0.5731
0.1342 0.0049 0.2943
0.1342 0.4951 0.2943
0.1510 0.7500 0.5927
0.3490 0.2500 0.0927
0.3658 0.5049 0.7943
0.3658 0.9951 0.7943
0.3809 0.7500 0.0731
0.4936 0.7500 0.5397
0.5064 0.2500 0.4603
0.6191 0.2500 0.9269
0.6342 0.0049 0.2057
0.6342 0.4951 0.2057
0.6510 0.7500 0.9073
0.8490 0.2500 0.4073
0.8658 0.5049 0.7057
0.8658 0.9951 0.7057
0.8809 0.7500 0.4269
0.9936 0.7500 0.9603
```


Structure and simulated powder diffractogram of MoPbO3 (a structure optimized by DFT (PBE+U); CuKα).

Peak list (10 most intense, 10 to 80 degrees two-theta, low angle first)
- 2θ = 21.64°, I = 10
- 2θ = 30.78°, I = 100
- 2θ = 37.94°, I = 11
- 2θ = 44.09°, I = 28
- 2θ = 49.63°, I = 6
- 2θ = 54.74°, I = 41
- 2θ = 64.13°, I = 18
- 2θ = 68.53°, I = 3
- 2θ = 72.81°, I = 18
- 2θ = 76.99°, I = 4

Atomic structure:
```
MoPbO3
1.0
4.1075 0.0000 0.0000
0.0000 4.1075 0.0000
0.0000 0.0000 4.1075
Mo Pb O
1 1 3
Direct
0.0000 0.0000 0.0000
0.5000 0.5000 0.5000
0.0000 0.0000 0.5000
0.0000 0.5000 0.0000
0.5000 0.0000 0.0000
```


Structure and simulated powder diffractogram of BaLa3Mn4O10 (a structure optimized by DFT (PBE+U); CuKα).

Peak list (10 most intense, 10 to 80 degrees two-theta, low angle first)
- 2θ = 21.99°, I = 27
- 2θ = 30.95°, I = 100
- 2θ = 31.02°, I = 63
- 2θ = 31.69°, I = 40
- 2θ = 38.01°, I = 13
- 2θ = 38.66°, I = 13
- 2θ = 39.67°, I = 14
- 2θ = 43.95°, I = 17
- 2θ = 44.86°, I = 35
- 2θ = 56.01°, I = 23

Atomic structure:
```
BaLa3Mn4O10
1.0
8.7276 -2.8236 0.0000
8.7276 2.8236 0.0000
-3.8122 0.0000 10.9257
Ba La Mn O
2 6 8 20
Direct
0.0036 0.9964 0.5000
0.9964 0.0036 0.0000
0.2154 0.2389 0.1292
0.2389 0.2154 0.6292
0.4811 0.5250 0.2649
0.5250 0.4811 0.7649
0.7123 0.7360 0.8552
0.7360 0.7123 0.3552
0.1140 0.1181 0.3130
0.1181 0.1140 0.8130
0.3245 0.4028 0.9616
0.4028 0.3245 0.4616
0.6196 0.6198 0.0636
0.6198 0.6196 0.5636
0.8293 0.9020 0.1587
0.9020 0.8293 0.6587
0.0422 0.9227 0.2563
0.2072 0.2972 0.3396
0.2850 0.4486 0.6387
0.2972 0.2072 0.8396
0.3728 0.8352 0.6819
0.3750 0.8594 0.1852
0.3913 0.8854 0.4531
0.3915 0.8709 0.9474
0.4486 0.2850 0.1387
0.4733 0.4801 0.4467
0.4801 0.4733 0.9467
0.7326 0.7774 0.6709
0.7542 0.9468 0.4836
0.7774 0.7326 0.1709
0.8352 0.3728 0.1819
0.8594 0.3750 0.6852
0.8709 0.3915 0.4474
0.8854 0.3913 0.9531
0.9227 0.0422 0.7563
0.9468 0.7542 0.9836
```